1.
# Na6Bi2AsC4O16
Simulated PXRD pattern, CuKα. Input: a DFT-relaxed cell (PBE, the Materials Project).

Principal peaks in the range 2θ = 10–80°, in order of falling intensity:
2θ/deg  intensity
20.08  100
34.59  63
31.70  57
20.98  43
40.80  40
10.45  33

Atomic structure:
a b c (Å): 14.669 14.669 14.669
angles (deg): 90.00 90.00 90.00
Space group Fd-3 (No. 203, origin choice 2)
Asymmetric unit:
Na 0.074 0.375 0.375 x48
Bi 0.000 0.000 0.500 x16
As 0.125 0.125 0.125 x8
C 0.023 0.023 0.727 x32
O 0.020 0.088 0.787 x96
O 0.057 0.057 0.057 x32

2.
# Ca3BiAs
Simulated PXRD pattern, CuKα. Input: a DFT-relaxed cell (PBE, the Materials Project).

Principal peaks in the range 2θ = 10–80°, in order of falling intensity:
2θ/deg  intensity
21.52  100
30.62  62
15.17  56
37.73  50
43.85  46
34.34  32

Atomic structure:
a b c (Å): 5.840 5.840 5.840
angles (deg): 90.00 90.00 90.00
Space group Pm-3m (No. 221)
Asymmetric unit:
Ca 0.000 0.000 0.500 x3
Bi 0.000 0.000 0.000 x1
As 0.500 0.500 0.500 x1

3.
# Ca3BiAs
Simulated PXRD pattern, CuKα. Input: a DFT-relaxed cell (PBE, the Materials Project).

Principal peaks in the range 2θ = 10–80°, in order of falling intensity:
2θ/deg  intensity
22.74  100
32.38  61
39.93  48
27.95  47
46.44  44
62.88  27

Atomic structure:
a b c (Å): 5.530 5.530 5.530
angles (deg): 90.00 90.00 90.00
Space group Pm-3m (No. 221)
Asymmetric unit:
Ca 0.000 0.000 0.500 x3
Bi 0.500 0.500 0.500 x1
As 0.000 0.000 0.000 x1

4.
# CaBiAsO5
Simulated PXRD pattern, CuKα. Input: a DFT-relaxed cell (PBE, the Materials Project).

Principal peaks in the range 2θ = 10–80°, in order of falling intensity:
2θ/deg  intensity
29.51  100
15.29  99
30.91  88
40.18  53
24.23  47
31.54  41

Atomic structure:
a b c (Å): 7.099 7.345 9.436
angles (deg): 90.00 90.00 90.00
Space group P2_12_12_1 (No. 19)
Asymmetric unit:
Ca 0.005 0.191 0.160 x4
Bi 0.237 0.777 0.987 x4
As 0.051 0.359 0.828 x4
O 0.015 0.372 0.370 x4
O 0.027 0.544 0.945 x4
O 0.156 0.197 0.933 x4
O 0.172 0.822 0.734 x4
O 0.210 0.399 0.694 x4

5.
# CaBiAsO6
Simulated PXRD pattern, CuKα. Input: a DFT-relaxed cell (PBE, the Materials Project).

Principal peaks in the range 2θ = 10–80°, in order of falling intensity:
2θ/deg  intensity
19.53  100
12.74  91
30.17  62
31.04  61
29.83  57
23.10  53

Atomic structure:
a b c (Å): 7.144 5.178 7.550
angles (deg): 90.00 103.47 90.00
Space group P2_1 (No. 4)
Asymmetric unit:
Ca 0.246 0.000 0.074 x2
Bi 0.411 0.953 0.591 x2
As 0.220 0.538 0.784 x2
O 0.072 0.615 0.924 x2
O 0.165 0.690 0.571 x2
O 0.233 0.206 0.774 x2
O 0.324 0.225 0.371 x2
O 0.402 0.761 0.322 x2
O 0.430 0.716 0.877 x2

6.
# Ca3Bi2As2O12
Simulated PXRD pattern, CuKα. Input: a DFT-relaxed cell (PBE, the Materials Project).

Principal peaks in the range 2θ = 10–80°, in order of falling intensity:
2θ/deg  intensity
19.26  100
12.63  75
29.80  74
11.87  62
30.52  48
29.21  43

Atomic structure:
a b c (Å): 5.517 7.204 7.661
angles (deg): 76.77 88.43 88.44
Space group P1 (No. 1)
Asymmetric unit:
Ca 0.000 0.000 0.000 x1
Ca 0.002 0.632 0.392 x1
Ca 0.497 0.201 0.230 x1
Bi 0.481 0.314 0.718 x1
Bi 0.967 0.510 0.874 x1
As 0.035 0.119 0.496 x1
As 0.556 0.722 0.112 x1
O 0.112 0.972 0.355 x1
O 0.160 0.051 0.706 x1
O 0.186 0.327 0.398 x1
O 0.239 0.556 0.659 x1
O 0.243 0.721 0.104 x1
O 0.245 0.275 0.966 x1
O 0.664 0.886 0.221 x1
O 0.680 0.504 0.217 x1
O 0.706 0.786 0.905 x1
O 0.721 0.149 0.511 x1
O 0.733 0.258 0.943 x1
O 0.753 0.523 0.638 x1

7.
# Na2Cu3Bi2As2O13
Simulated PXRD pattern, CuKα. Input: a DFT-relaxed cell (PBE, the Materials Project).

Principal peaks in the range 2θ = 10–80°, in order of falling intensity:
2θ/deg  intensity
31.97  100
32.40  95
26.83  74
21.70  60
33.17  51
34.31  46

Atomic structure:
a b c (Å): 9.962 5.227 13.024
angles (deg): 90.00 108.23 90.00
Space group C2 (No. 5)
Asymmetric unit:
Na 0.164 0.000 0.076 x4
Cu 0.000 0.100 0.500 x2
Cu 0.179 0.575 0.668 x4
Bi 0.157 0.596 0.398 x4
As 0.098 0.078 0.784 x4
O 0.000 0.628 0.000 x2
O 0.058 0.116 0.324 x4
O 0.079 0.161 0.904 x4
O 0.149 0.848 0.561 x4
O 0.152 0.355 0.543 x4
O 0.158 0.762 0.789 x4
O 0.233 0.262 0.757 x4